# 1
This entry pairs a crystal structure of ZnGaCu2 with its simulated XRD peak list. Radiation: Cu Kα (weighted mean of Kα1 and Kα2). Structure: DFT lattice parameters and positions (PBE).

Crystal structure
```
data_ZnGaCu2
_cell_length_a 5.9486
_cell_length_b 5.9486
_cell_length_c 5.9486
_cell_angle_alpha 90.00
_cell_angle_beta 90.00
_cell_angle_gamma 90.00
_space_group_name_H-M_alt 'P 1'
_space_group_IT_number 1
loop_
_space_group_symop_operation_xyz
'x,y,z'
loop_
_atom_site_label
_atom_site_type_symbol
_atom_site_fract_x
_atom_site_fract_y
_atom_site_fract_z
_atom_site_occupancy
Zn1 Zn 0.0000 0.0000 0.0000 1
Zn2 Zn 0.0000 0.0000 0.5000 1
Zn3 Zn 0.0000 0.5000 0.0000 1
Zn4 Zn 0.5000 0.0000 0.0000 1
Ga1 Ga 0.0000 0.5000 0.5000 1
Ga2 Ga 0.5000 0.0000 0.5000 1
Ga3 Ga 0.5000 0.5000 0.0000 1
Ga4 Ga 0.5000 0.5000 0.5000 1
Cu1 Cu 0.2474 0.2474 0.2474 1
Cu2 Cu 0.2474 0.2474 0.7526 1
Cu3 Cu 0.2474 0.7526 0.2474 1
Cu4 Cu 0.2474 0.7526 0.7526 1
Cu5 Cu 0.7526 0.2474 0.2474 1
Cu6 Cu 0.7526 0.2474 0.7526 1
Cu7 Cu 0.7526 0.7526 0.2474 1
Cu8 Cu 0.7526 0.7526 0.7526 1
```

Largest 3 diffraction maxima, low angle first, 10° ≤ 2θ ≤ 90°:
2θ (°)	intensity
43.01	100
62.45	15
78.82	30


# 2
This entry pairs a crystal structure of OsPbF7 with its simulated XRD peak list. Radiation: Cu Kα (weighted mean of Kα1 and Kα2). Structure: DFT lattice parameters and positions (PBE).

Crystal structure
```
data_OsPbF7
_cell_length_a 4.7591
_cell_length_b 7.0999
_cell_length_c 6.4516
_cell_angle_alpha 90.00
_cell_angle_beta 95.27
_cell_angle_gamma 90.00
_space_group_name_H-M_alt 'P 1'
_space_group_IT_number 1
loop_
_space_group_symop_operation_xyz
'x,y,z'
loop_
_atom_site_label
_atom_site_type_symbol
_atom_site_fract_x
_atom_site_fract_y
_atom_site_fract_z
_atom_site_occupancy
Os1 Os 0.0404 0.2500 0.2202 1
Os2 Os 0.9596 0.7500 0.7798 1
Pb1 Pb 0.4563 0.2500 0.7026 1
Pb2 Pb 0.5437 0.7500 0.2974 1
F1 F 0.0875 0.7500 0.5044 1
F2 F 0.0941 0.7500 0.0780 1
F3 F 0.2163 0.5381 0.8160 1
F4 F 0.2163 0.9619 0.8160 1
F5 F 0.2926 0.0598 0.3607 1
F6 F 0.2926 0.4402 0.3607 1
F7 F 0.3674 0.2500 0.0634 1
F8 F 0.6326 0.7500 0.9366 1
F9 F 0.7074 0.5598 0.6393 1
F10 F 0.7074 0.9402 0.6393 1
F11 F 0.7837 0.0381 0.1840 1
F12 F 0.7837 0.4619 0.1840 1
F13 F 0.9059 0.2500 0.9220 1
F14 F 0.9125 0.2500 0.4956 1
```

Largest 10 diffraction maxima, low angle first, 10° ≤ 2θ ≤ 90°:
2θ (°)	intensity
25.09	61
25.60	100
27.44	79
27.77	35
30.55	15
37.77	21
44.50	19
45.66	26
46.05	27
46.70	20


# 3
This entry pairs a crystal structure of DyErTlCo2 with its simulated XRD peak list. Radiation: Cu Kα (weighted mean of Kα1 and Kα2). Structure: DFT lattice parameters and positions (PBE).

Crystal structure
```
data_DyErTlCo2
_cell_length_a 3.8225
_cell_length_b 7.2575
_cell_length_c 7.2575
_cell_angle_alpha 30.45
_cell_angle_beta 90.00
_cell_angle_gamma 90.00
_space_group_name_H-M_alt 'P 1'
_space_group_IT_number 1
loop_
_space_group_symop_operation_xyz
'x,y,z'
loop_
_atom_site_label
_atom_site_type_symbol
_atom_site_fract_x
_atom_site_fract_y
_atom_site_fract_z
_atom_site_occupancy
Dy1 Dy 0.0000 0.0000 0.0000 1
Er1 Er 0.0000 0.2811 0.2811 1
Tl1 Tl 0.5000 0.6407 0.6407 1
Co1 Co 0.5000 0.4341 0.4341 1
Co2 Co 0.5000 0.8464 0.8464 1
```

Largest 10 diffraction maxima, low angle first, 10° ≤ 2θ ≤ 90°:
2θ (°)	intensity
30.27	53
33.82	100
34.75	75
38.55	25
39.94	28
47.58	21
47.72	21
57.32	20
57.44	18
60.37	30


# 4
This entry pairs a crystal structure of K3RbAg2Sb2 with its simulated XRD peak list. Radiation: Cu Kα (weighted mean of Kα1 and Kα2). Structure: DFT lattice parameters and positions (PBE).

Crystal structure
```
data_K3RbAg2Sb2
_cell_length_a 6.7336
_cell_length_b 6.4190
_cell_length_c 6.8497
_cell_angle_alpha 90.00
_cell_angle_beta 104.04
_cell_angle_gamma 90.00
_space_group_name_H-M_alt 'P 1'
_space_group_IT_number 1
loop_
_space_group_symop_operation_xyz
'x,y,z'
loop_
_atom_site_label
_atom_site_type_symbol
_atom_site_fract_x
_atom_site_fract_y
_atom_site_fract_z
_atom_site_occupancy
K1 K 0.0000 0.0000 0.0000 1
K2 K 0.3036 0.5000 0.3067 1
K3 K 0.6476 0.5000 0.9678 1
Rb1 Rb 0.3456 0.0000 0.6591 1
Ag1 Ag 0.8206 0.2508 0.4835 1
Ag2 Ag 0.8206 0.7492 0.4835 1
Sb1 Sb 0.0821 0.5000 0.7490 1
Sb2 Sb 0.5643 0.0000 0.2147 1
```

Largest 10 diffraction maxima, low angle first, 10° ≤ 2θ ≤ 90°:
2θ (°)	intensity
13.32	41
16.56	100
19.39	40
27.35	32
30.44	64
30.75	67
31.05	38
35.26	72
39.02	40
39.36	30


# 5
This entry pairs a crystal structure of Cs3Cu2I5 with its simulated XRD peak list. Radiation: Cu Kα (weighted mean of Kα1 and Kα2). Structure: DFT lattice parameters and positions (PBE).

Crystal structure
```
data_Cs3Cu2I5
_cell_length_a 10.3249
_cell_length_b 11.7855
_cell_length_c 14.5414
_cell_angle_alpha 90.00
_cell_angle_beta 90.00
_cell_angle_gamma 90.00
_space_group_name_H-M_alt 'P 1'
_space_group_IT_number 1
loop_
_space_group_symop_operation_xyz
'x,y,z'
loop_
_atom_site_label
_atom_site_type_symbol
_atom_site_fract_x
_atom_site_fract_y
_atom_site_fract_z
_atom_site_occupancy
Cs1 Cs 0.0534 0.0123 0.1760 1
Cs2 Cs 0.0534 0.4877 0.1760 1
Cs3 Cs 0.0934 0.7500 0.4520 1
Cs4 Cs 0.4066 0.2500 0.9520 1
Cs5 Cs 0.4466 0.5123 0.6760 1
Cs6 Cs 0.4466 0.9877 0.6760 1
Cs7 Cs 0.5534 0.0123 0.3240 1
Cs8 Cs 0.5534 0.4877 0.3240 1
Cs9 Cs 0.5934 0.7500 0.0480 1
Cs10 Cs 0.9066 0.2500 0.5480 1
Cs11 Cs 0.9466 0.5123 0.8240 1
Cs12 Cs 0.9466 0.9877 0.8240 1
Cu1 Cu 0.2151 0.7500 0.0452 1
Cu2 Cu 0.2370 0.7500 0.8744 1
Cu3 Cu 0.2630 0.2500 0.3744 1
Cu4 Cu 0.2849 0.2500 0.5452 1
Cu5 Cu 0.7151 0.7500 0.4548 1
Cu6 Cu 0.7370 0.7500 0.6256 1
Cu7 Cu 0.7630 0.2500 0.1256 1
Cu8 Cu 0.7849 0.2500 0.9548 1
I1 I 0.0334 0.2500 0.9878 1
I2 I 0.1606 0.7500 0.7093 1
I3 I 0.1914 0.0617 0.4494 1
I4 I 0.1914 0.4383 0.4494 1
I5 I 0.2027 0.2500 0.7122 1
I6 I 0.2973 0.7500 0.2122 1
I7 I 0.3086 0.5617 0.9494 1
I8 I 0.3086 0.9383 0.9494 1
I9 I 0.3394 0.2500 0.2093 1
I10 I 0.4666 0.7500 0.4878 1
I11 I 0.5334 0.2500 0.5122 1
I12 I 0.6606 0.7500 0.7907 1
I13 I 0.6914 0.0617 0.0506 1
I14 I 0.6914 0.4383 0.0506 1
I15 I 0.7027 0.2500 0.7878 1
I16 I 0.7973 0.7500 0.2878 1
I17 I 0.8086 0.5617 0.5506 1
I18 I 0.8086 0.9383 0.5506 1
I19 I 0.8394 0.2500 0.2907 1
I20 I 0.9666 0.7500 0.0122 1
```

Largest 10 diffraction maxima, low angle first, 10° ≤ 2θ ≤ 90°:
2θ (°)	intensity
23.72	38
25.20	18
25.31	50
26.00	100
26.62	22
27.69	33
30.34	39
41.19	20
47.19	28
49.67	19


# 6
This entry pairs a crystal structure of CdGa2Se2S2 with its simulated XRD peak list. Radiation: Cu Kα (weighted mean of Kα1 and Kα2). Structure: DFT lattice parameters and positions (PBE).

Crystal structure
```
data_CdGa2Se2S2
_cell_length_a 5.7438
_cell_length_b 5.7544
_cell_length_c 6.6195
_cell_angle_alpha 114.59
_cell_angle_beta 115.22
_cell_angle_gamma 90.06
_space_group_name_H-M_alt 'P 1'
_space_group_IT_number 1
loop_
_space_group_symop_operation_xyz
'x,y,z'
loop_
_atom_site_label
_atom_site_type_symbol
_atom_site_fract_x
_atom_site_fract_y
_atom_site_fract_z
_atom_site_occupancy
Cd1 Cd 0.0000 0.0000 0.0000 1
Ga1 Ga 0.2612 0.7560 0.4988 1
Ga2 Ga 0.4993 0.5156 0.9986 1
Se1 Se 0.1229 0.1433 0.7164 1
Se2 Se 0.8685 0.4094 0.2821 1
S1 S 0.4002 0.8663 0.2636 1
S2 S 0.5979 0.6134 0.7343 1
```

Largest 10 diffraction maxima, low angle first, 10° ≤ 2θ ≤ 90°:
2θ (°)	intensity
17.67	45
21.87	39
27.33	93
27.48	100
27.74	81
27.94	88
44.58	91
45.96	42
46.33	41
46.78	36


# 7
This entry pairs a crystal structure of KTaCuTe2Se with its simulated XRD peak list. Radiation: Cu Kα (weighted mean of Kα1 and Kα2). Structure: DFT lattice parameters and positions (PBE).

Crystal structure
```
data_KTaCuTe2Se
_cell_length_a 8.2318
_cell_length_b 8.2318
_cell_length_c 10.1874
_cell_angle_alpha 90.00
_cell_angle_beta 90.00
_cell_angle_gamma 152.55
_space_group_name_H-M_alt 'P 1'
_space_group_IT_number 1
loop_
_space_group_symop_operation_xyz
'x,y,z'
loop_
_atom_site_label
_atom_site_type_symbol
_atom_site_fract_x
_atom_site_fract_y
_atom_site_fract_z
_atom_site_occupancy
K1 K 0.2417 0.7583 0.7500 1
K2 K 0.7583 0.2417 0.2500 1
Ta1 Ta 0.5000 0.5000 0.0000 1
Ta2 Ta 0.5000 0.5000 0.5000 1
Cu1 Cu 0.0292 0.9708 0.2500 1
Cu2 Cu 0.9708 0.0292 0.7500 1
Te1 Te 0.1252 0.8748 0.0473 1
Te2 Te 0.1252 0.8748 0.4527 1
Te3 Te 0.8748 0.1252 0.5473 1
Te4 Te 0.8748 0.1252 0.9527 1
Se1 Se 0.4394 0.5606 0.2500 1
Se2 Se 0.5606 0.4394 0.7500 1
```

Largest 10 diffraction maxima, low angle first, 10° ≤ 2θ ≤ 90°:
2θ (°)	intensity
11.06	100
17.41	20
28.33	44
28.56	18
29.68	25
33.44	53
35.24	21
40.52	43
45.35	17
46.49	17


# 8
This entry pairs a crystal structure of Li4TlCd3 with its simulated XRD peak list. Radiation: Cu Kα (weighted mean of Kα1 and Kα2). Structure: DFT lattice parameters and positions (PBE).

Crystal structure
```
data_Li4TlCd3
_cell_length_a 4.7500
_cell_length_b 4.7500
_cell_length_c 6.7343
_cell_angle_alpha 90.00
_cell_angle_beta 90.00
_cell_angle_gamma 90.00
_space_group_name_H-M_alt 'P 1'
_space_group_IT_number 1
loop_
_space_group_symop_operation_xyz
'x,y,z'
loop_
_atom_site_label
_atom_site_type_symbol
_atom_site_fract_x
_atom_site_fract_y
_atom_site_fract_z
_atom_site_occupancy
Li1 Li 0.0000 0.0000 0.0000 1
Li2 Li 0.0000 0.5000 0.7467 1
Li3 Li 0.5000 0.0000 0.2533 1
Li4 Li 0.5000 0.5000 0.5000 1
Tl1 Tl 0.5000 0.5000 0.0000 1
Cd1 Cd 0.0000 0.0000 0.5000 1
Cd2 Cd 0.0000 0.5000 0.2585 1
Cd3 Cd 0.5000 0.0000 0.7415 1
```

Largest 10 diffraction maxima, low angle first, 10° ≤ 2θ ≤ 90°:
2θ (°)	intensity
22.91	100
37.85	93
44.71	51
54.50	5
54.65	11
59.98	21
68.35	31
73.19	12
80.84	7
85.48	10


# 9
This entry pairs a crystal structure of CuH5C5NCl with its simulated XRD peak list. Radiation: Cu Kα (weighted mean of Kα1 and Kα2). Structure: DFT lattice parameters and positions (PBE).

Crystal structure
```
data_CuH5C5NCl
_cell_length_a 6.7315
_cell_length_b 7.3706
_cell_length_c 13.5663
_cell_angle_alpha 90.00
_cell_angle_beta 110.56
_cell_angle_gamma 90.00
_space_group_name_H-M_alt 'P 1'
_space_group_IT_number 1
loop_
_space_group_symop_operation_xyz
'x,y,z'
loop_
_atom_site_label
_atom_site_type_symbol
_atom_site_fract_x
_atom_site_fract_y
_atom_site_fract_z
_atom_site_occupancy
Cu1 Cu 0.0307 0.1361 0.0895 1
Cu2 Cu 0.0307 0.3639 0.5895 1
Cu3 Cu 0.9693 0.6361 0.4105 1
Cu4 Cu 0.9693 0.8639 0.9105 1
H1 H 0.0826 0.7175 0.7646 1
H2 H 0.0826 0.7825 0.2646 1
H3 H 0.1118 0.5296 0.9223 1
H4 H 0.1118 0.9704 0.4223 1
H5 H 0.2904 0.6264 0.3491 1
H6 H 0.2904 0.8736 0.8491 1
H7 H 0.3040 0.0495 0.6089 1
H8 H 0.3040 0.4505 0.1089 1
H9 H 0.4629 0.6912 0.5409 1
H10 H 0.4629 0.8088 0.0409 1
H11 H 0.5371 0.1912 0.9591 1
H12 H 0.5371 0.3088 0.4591 1
H13 H 0.6960 0.5495 0.8911 1
H14 H 0.6960 0.9505 0.3911 1
H15 H 0.7096 0.1264 0.1509 1
H16 H 0.7096 0.3736 0.6509 1
H17 H 0.8882 0.0296 0.5777 1
H18 H 0.8882 0.4704 0.0777 1
H19 H 0.9174 0.2175 0.7354 1
H20 H 0.9174 0.2825 0.2354 1
C1 C 0.1789 0.7372 0.3436 1
C2 C 0.1789 0.7628 0.8436 1
C3 C 0.2002 0.6571 0.9315 1
C4 C 0.2002 0.8429 0.4315 1
C5 C 0.3613 0.6898 0.0328 1
C6 C 0.3613 0.8102 0.5328 1
C7 C 0.3978 0.5742 0.1157 1
C8 C 0.3978 0.9258 0.6157 1
C9 C 0.4346 0.0983 0.2886 1
C10 C 0.4346 0.4017 0.7886 1
C11 C 0.5654 0.5983 0.2114 1
C12 C 0.5654 0.9017 0.7114 1
C13 C 0.6022 0.0742 0.3843 1
C14 C 0.6022 0.4258 0.8843 1
C15 C 0.6387 0.1898 0.4672 1
C16 C 0.6387 0.3102 0.9672 1
C17 C 0.7998 0.1571 0.5685 1
C18 C 0.7998 0.3429 0.0685 1
C19 C 0.8211 0.2372 0.1564 1
C20 C 0.8211 0.2628 0.6564 1
N1 N 0.2940 0.1108 0.2080 1
N2 N 0.2940 0.3892 0.7080 1
N3 N 0.7060 0.6108 0.2920 1
N4 N 0.7060 0.8892 0.7920 1
Cl1 Cl 0.1243 0.1687 0.9434 1
Cl2 Cl 0.1243 0.3313 0.4434 1
Cl3 Cl 0.8757 0.6687 0.5566 1
Cl4 Cl 0.8757 0.8313 0.0566 1
```

Largest 10 diffraction maxima, low angle first, 10° ≤ 2θ ≤ 90°:
2θ (°)	intensity
13.92	97
14.05	89
15.96	26
17.96	100
18.45	30
20.02	36
21.50	31
23.11	23
25.16	29
40.14	24


# 10
This entry pairs a crystal structure of KHoHgTe3 with its simulated XRD peak list. Radiation: Cu Kα (weighted mean of Kα1 and Kα2). Structure: DFT lattice parameters and positions (PBE).

Crystal structure
```
data_KHoHgTe3
_cell_length_a 10.4193
_cell_length_b 10.4193
_cell_length_c 9.6928
_cell_angle_alpha 101.40
_cell_angle_beta 101.40
_cell_angle_gamma 24.47
_space_group_name_H-M_alt 'P 1'
_space_group_IT_number 1
loop_
_space_group_symop_operation_xyz
'x,y,z'
loop_
_atom_site_label
_atom_site_type_symbol
_atom_site_fract_x
_atom_site_fract_y
_atom_site_fract_z
_atom_site_occupancy
K1 K 0.1396 0.1396 0.0667 1
K2 K 0.8604 0.8604 0.9333 1
Ho1 Ho 0.1747 0.1747 0.5748 1
Ho2 Ho 0.8253 0.8253 0.4252 1
Hg1 Hg 0.4688 0.4688 0.2783 1
Hg2 Hg 0.5312 0.5312 0.7217 1
Te1 Te 0.0000 0.0000 0.5000 1
Te2 Te 0.3240 0.3240 0.2045 1
Te3 Te 0.3267 0.3267 0.6418 1
Te4 Te 0.5000 0.5000 0.0000 1
Te5 Te 0.6733 0.6733 0.3582 1
Te6 Te 0.6760 0.6760 0.7955 1
```

Largest 10 diffraction maxima, low angle first, 10° ≤ 2θ ≤ 90°:
2θ (°)	intensity
14.12	26
26.56	25
26.82	55
27.33	100
33.02	25
34.41	39
37.14	24
38.17	38
40.86	29
43.34	31


# 11
This entry pairs a crystal structure of Y2Mg3Fe2 with its simulated XRD peak list. Radiation: Cu Kα (weighted mean of Kα1 and Kα2). Structure: DFT lattice parameters and positions (PBE).

Crystal structure
```
data_Y2Mg3Fe2
_cell_length_a 10.7056
_cell_length_b 10.7056
_cell_length_c 3.6984
_cell_angle_alpha 90.00
_cell_angle_beta 90.00
_cell_angle_gamma 158.89
_space_group_name_H-M_alt 'P 1'
_space_group_IT_number 1
loop_
_space_group_symop_operation_xyz
'x,y,z'
loop_
_atom_site_label
_atom_site_type_symbol
_atom_site_fract_x
_atom_site_fract_y
_atom_site_fract_z
_atom_site_occupancy
Y1 Y 0.1731 0.8269 0.0000 1
Y2 Y 0.8269 0.1731 0.0000 1
Mg1 Mg 0.0000 0.0000 0.0000 1
Mg2 Mg 0.4205 0.5795 0.5000 1
Mg3 Mg 0.5795 0.4205 0.5000 1
Fe1 Fe 0.2807 0.7193 0.5000 1
Fe2 Fe 0.7193 0.2807 0.5000 1
```

Largest 10 diffraction maxima, low angle first, 10° ≤ 2θ ≤ 90°:
2θ (°)	intensity
26.03	22
33.58	81
35.26	100
35.74	99
37.70	50
39.76	64
45.16	43
46.31	35
49.28	29
59.51	45


# 12
This entry pairs a crystal structure of La2GdTa2P6 with its simulated XRD peak list. Radiation: Cu Kα (weighted mean of Kα1 and Kα2). Structure: DFT lattice parameters and positions (PBE).

Crystal structure
```
data_La2GdTa2P6
_cell_length_a 11.9583
_cell_length_b 11.9583
_cell_length_c 11.9583
_cell_angle_alpha 157.19
_cell_angle_beta 157.19
_cell_angle_gamma 32.48
_space_group_name_H-M_alt 'P 1'
_space_group_IT_number 1
loop_
_space_group_symop_operation_xyz
'x,y,z'
loop_
_atom_site_label
_atom_site_type_symbol
_atom_site_fract_x
_atom_site_fract_y
_atom_site_fract_z
_atom_site_occupancy
La1 La 0.1699 0.1699 0.0000 1
La2 La 0.8301 0.8301 0.0000 1
Gd1 Gd 0.0000 0.0000 0.0000 1
Ta1 Ta 0.3992 0.3992 0.0000 1
Ta2 Ta 0.6008 0.6008 0.0000 1
P1 P 0.0775 0.5775 0.5000 1
P2 P 0.2973 0.2973 0.0000 1
P3 P 0.4225 0.9225 0.5000 1
P4 P 0.5775 0.0775 0.5000 1
P5 P 0.7027 0.7027 0.0000 1
P6 P 0.9225 0.4225 0.5000 1
```

Largest 10 diffraction maxima, low angle first, 10° ≤ 2θ ≤ 90°:
2θ (°)	intensity
15.44	20
26.65	73
27.06	100
33.24	27
38.05	52
40.16	18
47.32	45
51.40	15
54.91	18
62.05	14


Repeat the seventh record exactly.
This entry pairs a crystal structure of KTaCuTe2Se with its simulated XRD peak list. Radiation: Cu Kα (weighted mean of Kα1 and Kα2). Structure: DFT lattice parameters and positions (PBE).

Crystal structure
```
data_KTaCuTe2Se
_cell_length_a 8.2318
_cell_length_b 8.2318
_cell_length_c 10.1874
_cell_angle_alpha 90.00
_cell_angle_beta 90.00
_cell_angle_gamma 152.55
_space_group_name_H-M_alt 'P 1'
_space_group_IT_number 1
loop_
_space_group_symop_operation_xyz
'x,y,z'
loop_
_atom_site_label
_atom_site_type_symbol
_atom_site_fract_x
_atom_site_fract_y
_atom_site_fract_z
_atom_site_occupancy
K1 K 0.2417 0.7583 0.7500 1
K2 K 0.7583 0.2417 0.2500 1
Ta1 Ta 0.5000 0.5000 0.0000 1
Ta2 Ta 0.5000 0.5000 0.5000 1
Cu1 Cu 0.0292 0.9708 0.2500 1
Cu2 Cu 0.9708 0.0292 0.7500 1
Te1 Te 0.1252 0.8748 0.0473 1
Te2 Te 0.1252 0.8748 0.4527 1
Te3 Te 0.8748 0.1252 0.5473 1
Te4 Te 0.8748 0.1252 0.9527 1
Se1 Se 0.4394 0.5606 0.2500 1
Se2 Se 0.5606 0.4394 0.7500 1
```

Largest 10 diffraction maxima, low angle first, 10° ≤ 2θ ≤ 90°:
2θ (°)	intensity
11.06	100
17.41	20
28.33	44
28.56	18
29.68	25
33.44	53
35.24	21
40.52	43
45.35	17
46.49	17